Calculated X-ray powder pattern of Na2LiSb2Pt for a wavelength of 1.5418 Å, from DFT lattice parameters and positions (GGA-PBE).
Intensities are scaled so that the largest is 100.

Crystal structure
```
12
Lattice="-3.1063 7.2554 3.2671 3.1063 -7.2554 3.2671 3.1063 7.2554 -3.2671" Properties=species:S:1:pos:R:3 pbc="T T T"
Na 1.4893 2.4227 0.0000
Na 1.4893 -2.4227 3.2671
Na 1.6170 9.6781 0.0000
Na 1.6170 4.8326 3.2671
Li 0.0000 0.0000 1.6336
Li 0.0000 0.0000 4.9007
Sb 4.5152 1.5892 0.0000
Sb 1.4089 5.6662 0.0000
Sb 1.6974 1.5892 3.2671
Sb -1.4089 5.6662 3.2671
Pt 3.1063 0.0000 1.6336
Pt 0.0000 7.2554 1.6336
```

Principal peaks in the range 2θ = 5–70°, in order of rising 2θ:
2θ (°), intensity
12.20, 91
15.52, 100
23.27, 92
31.55, 21
36.19, 23
37.03, 55
38.14, 47
40.05, 49
44.21, 18
47.70, 18

---

Calculated X-ray powder pattern of Na2LiSn4Pt3 for a wavelength of 1.5418 Å, from DFT lattice parameters and positions (GGA-PBE).
Intensities are scaled so that the largest is 100.

Crystal structure
```
10
Lattice="4.6228 0.0000 0.0000 0.0000 4.6228 0.0000 0.0000 0.0000 10.8275" Properties=species:S:1:pos:R:3 pbc="T T T"
Na 0.0000 2.3114 2.5885
Na 2.3114 0.0000 8.2391
Li 2.3114 2.3114 0.0000
Sn 0.0000 0.0000 5.4138
Sn 0.0000 2.3114 9.4395
Sn 2.3114 0.0000 1.3880
Sn 2.3114 2.3114 5.4138
Pt 0.0000 0.0000 0.0000
Pt 0.0000 2.3114 6.8239
Pt 2.3114 0.0000 4.0037
```

Principal peaks in the range 2θ = 5–70°, in order of rising 2θ:
2θ (°), intensity
16.37, 28
20.89, 100
31.45, 44
31.98, 48
38.97, 65
43.40, 80
44.62, 29
46.30, 21
50.90, 23
56.29, 23

---

Calculated X-ray powder pattern of NaLi2PuSb2 for a wavelength of 1.5418 Å, from DFT lattice parameters and positions (GGA-PBE).
Intensities are scaled so that the largest is 100.

Crystal structure
```
6
Lattice="4.6924 0.0000 0.0000 -2.3462 4.0638 0.0000 0.0000 0.0000 7.3891" Properties=species:S:1:pos:R:3 pbc="T T T"
Na 0.0000 0.0000 0.0000
Li 0.0000 2.7092 1.2724
Li 2.3462 1.3546 6.1168
Pu 0.0000 0.0000 3.6946
Sb 0.0000 2.7092 5.4338
Sb 2.3462 1.3546 1.9553
```

Principal peaks in the range 2θ = 5–70°, in order of rising 2θ:
2θ (°), intensity
11.98, 54
25.01, 100
32.76, 92
38.37, 53
40.33, 19
42.94, 29
46.34, 19
51.32, 26
64.17, 21
65.85, 25